Record 1
Starting from the GGA-PBE geometry in the Materials Project, the powder diffractogram of Er4I5 was computed for copper Kα.
Neutral-atom scattering factors, no anomalous dispersion.

Structure:
```
9
Lattice="9.2577 -1.9664 0.0000 9.2577 1.9664 0.0000 -2.0691 0.0000 8.5048" Properties=species:S:1:pos:R:3 pbc="T T T"
Er 18.1025 0.0000 1.6675
Er -1.6561 0.0000 6.8373
Er 4.8569 0.0000 7.9309
Er 11.5894 0.0000 0.5739
I 2.3918 0.0000 2.9470
I 1.5260 0.0000 7.0144
I 8.2232 0.0000 4.2524
I 14.9203 0.0000 1.4904
I 14.0546 0.0000 5.5578
```

Most intense lines, 10 to 90 degrees two-theta, low angle first:
10.40°, I = 26
27.79°, I = 18
29.80°, I = 40
30.39°, I = 22
30.56°, I = 100
32.21°, I = 22
33.76°, I = 24
35.38°, I = 15
41.26°, I = 15
43.21°, I = 50
46.16°, I = 20
55.92°, I = 14

---

Record 2
Starting from the GGA-PBE geometry in the Materials Project, the powder diffractogram of ErI3 was computed for copper Kα.
Neutral-atom scattering factors, no anomalous dispersion.

Structure:
```
8
Lattice="11.0089 0.0000 0.0000 -5.5045 9.5340 0.0000 0.0000 0.0000 3.9803" Properties=species:S:1:pos:R:3 pbc="T T T"
Er 0.0000 6.3560 0.9951
Er 5.5045 3.1780 2.9852
I 0.0000 4.0414 2.9852
I -2.0045 7.5133 2.9852
I 3.5000 2.0207 0.9951
I 2.0045 7.5133 2.9852
I 7.5090 2.0207 0.9951
I 5.5045 5.4926 0.9951
```

Most intense lines, 10 to 90 degrees two-theta, low angle first:
16.10°, I = 25
18.61°, I = 63
24.71°, I = 22
29.23°, I = 100
32.53°, I = 19
33.55°, I = 31
33.90°, I = 21
36.17°, I = 42
40.98°, I = 34
49.67°, I = 31
58.69°, I = 25
73.49°, I = 21